Diffraction record for CaNpH9O9. The XRD peak list is calculated, not measured: it uses a PBE-relaxed structure and a wavelength of 1.5418 Å.
No peak broadening, texture or thermal motion is included.

Peak list (12 most intense, 5 to 70 degrees two-theta, by intensity)
| Position (°2θ) | I/Imax | (hkl) |
| --- | --- | --- |
| 11.24 | 100.0 | 0 1 0 |
| 14.78 | 40.5 | 1 0 0 |
| 20.15 | 34.7 | 1 -1 0 |
| 22.38 | 30.2 | 0 0 2 |
| 16.92 | 27.2 | 1 1 0 |
| 22.89 | 21.8 | 1 1 2 |
| 30.90 | 17.9 | 1 0 -2 |
| 24.75 | 16.9 | 1 2 0 |
| 30.19 | 16.8 | 2 1 2 |
| 26.01 | 16.5 | 0 1 -2 |
| 22.59 | 13.4 | 0 2 0 |
| 27.12 | 13.1 | 1 -1 2 |

Atomic structure:
```
data_CaNpH9O9
_cell_length_a 6.5216
_cell_length_b 8.1007
_cell_length_c 8.5281
_cell_angle_alpha 80.89
_cell_angle_beta 69.11
_cell_angle_gamma 77.25
_symmetry_space_group_name_H-M 'P -1'
_symmetry_Int_Tables_number 2
_symmetry_space_group_name_Hall '-P 1'
loop_
_atom_site_label
_atom_site_type_symbol
_atom_site_fract_x
_atom_site_fract_y
_atom_site_fract_z
Ca1 Ca 0.1780 0.2865 0.3717
Np1 Np 0.5000 0.5000 0.0000
Np2 Np 0.5000 0.5000 0.5000
H1 H 0.0677 0.1552 0.0984
H2 H 0.0751 0.7135 0.2635
H3 H 0.1054 0.1243 0.7436
H4 H 0.1727 0.7729 0.7742
H5 H 0.1761 0.9299 0.3458
H6 H 0.2083 0.4418 0.8349
H7 H 0.3364 0.9587 0.9065
H8 H 0.3532 0.1528 0.8598
H9 H 0.3556 0.9032 0.4370
O1 O 0.0125 0.7865 0.7964
O2 O 0.0155 0.1864 0.6730
O3 O 0.1988 0.5450 0.5056
O4 O 0.2040 0.5382 0.1580
O5 O 0.2459 0.0743 0.9058
O6 O 0.2851 0.9862 0.3647
O7 O 0.3716 0.4191 0.7966
O8 O 0.4741 0.7275 0.8989
O9 O 0.4847 0.7254 0.5503
```